The following is a computed powder diffractogram of Ti2V2Ge3. It was derived from DFT lattice parameters and positions (GGA-PBE), using CuKα.
Kinematic intensities with the Lorentz-polarization factor, no thermal factor.

Principal peaks in the range 2θ from 5° to 70°, in order of falling intensity:
hkl  2theta  Rel. int.
3 1 -1  35.16  100
3 1 1  44.02  61
2 0 -3  44.30  54
1 1 -2  39.87  54
4 0 1  42.68  50
6 0 -2  46.98  44
1 1 -1  30.09  41
0 2 0  54.00  36
1 1 2  45.42  34
1 1 0  27.52  32

Cell and atoms:
Unit cell a=11.9677 b=3.3963 c=6.1563 alpha=90.00 beta=114.79 gamma=90.00
Space group C2/m (No. 12)
Inequivalent atoms, fractional coordinates:
Ti  0.1238  0.0000  0.3765 [4 per cell]
V  0.0817  0.5000  0.6932 [4 per cell]
Ge  0.0000  0.5000  0.0000 [2 per cell]
Ge  0.2388  0.5000  0.1689 [4 per cell]

=====

The following is a computed powder diffractogram of TiV7Ge4. It was derived from DFT lattice parameters and positions (GGA-PBE), using CuKα.
Kinematic intensities with the Lorentz-polarization factor, no thermal factor.

Principal peaks in the range 2θ from 5° to 70°, in order of falling intensity:
hkl  2theta  Rel. int.
1 1 -4  44.37  100
3 1 1  43.97  96
0 2 0  40.17  90
4 0 -3  39.24  85
4 2 -3  57.41  52
1 1 0  22.51  24
3 1 0  38.03  20
2 0 -4  37.79  15
3 1 -1  34.81  15
1 1 3  44.14  12

Cell and atoms:
Unit cell a=9.5958 b=4.4893 c=9.5233 alpha=90.00 beta=119.48 gamma=90.00
Space group C2/m (No. 12)
Inequivalent atoms, fractional coordinates:
Ti  0.0000  0.0000  0.0000 [2 per cell]
V  0.0000  0.5000  0.0000 [2 per cell]
V  0.0372  0.0000  0.3761 [4 per cell]
V  0.1454  0.5000  0.5336 [4 per cell]
V  0.2154  0.0000  0.9167 [4 per cell]
Ge  0.0952  0.5000  0.7763 [4 per cell]
Ge  0.2219  0.5000  0.3147 [4 per cell]

=====

The following is a computed powder diffractogram of Ti4Ge2W. It was derived from DFT lattice parameters and positions (GGA-PBE), using CuKα.
Kinematic intensities with the Lorentz-polarization factor, no thermal factor.

Principal peaks in the range 2θ from 5° to 70°, in order of falling intensity:
hkl  2theta  Rel. int.
1 1 0  40.61  100
1 0 1  23.47  87
0 1 8  40.26  83
0 0 3  12.04  44
1 1 9  55.88  35
2 0 8  58.51  27
0 2 1  47.48  25
0 1 5  30.85  20
0 0 9  36.69  20
2 1 1  64.21  16

Cell and atoms:
Unit cell a=4.4427 b=4.4427 c=22.0445 alpha=90.00 beta=90.00 gamma=120.00
Space group R-3m (No. 166, hexagonal axes)
Inequivalent atoms, fractional coordinates:
Ti  0.0000  0.0000  0.1268 [6 per cell]
Ti  0.0000  0.0000  0.2670 [6 per cell]
Ge  0.0000  0.0000  0.3851 [6 per cell]
W  0.0000  0.0000  0.5000 [3 per cell]